The following is a simulated X-ray powder pattern of CaTmCu2. It was derived from a PBE-relaxed structure, using CuKα.
No peak broadening, texture or thermal motion is included.

Main lines, by angle (2θ from 15° to 90°):
| h k l | 2θ/deg | I/Imax |
| --- | --- | --- |
| 1 0 0 | 17.97 | 37 |
| 1 0 1 | 31.79 | 19 |
| 2 0 0 | 36.39 | 51 |
| 1 1 1 | 36.76 | 100 |
| 2 1 1 | 49.09 | 12 |
| 2 2 0 | 52.41 | 18 |
| 3 1 1 | 65.72 | 34 |
| 2 0 2 | 66.44 | 17 |

Crystal structure
```
CaTmCu2
1.0
4.938 0.000 0.000
0.000 4.938 0.000
0.000 0.000 3.425
Ca Tm Cu
1 1 2
direct
0.000 0.000 0.000 Ca
0.500 0.500 0.000 Tm
0.000 0.500 0.500 Cu
0.500 0.000 0.500 Cu
```